The following is a calculated powder X-ray diffraction pattern of NaPa3Se6. It was derived from a crystal structure in Alexandria, relaxed with PBE, using CuKα.
Lines closer than 0.1° are merged.

Peak list (12 most intense, 15° ≤ 2θ ≤ 90°, most intense first)
- 2θ 24.23, intensity 100
- 2θ 16.13, intensity 88
- 2θ 35.64, intensity 81
- 2θ 33.83, intensity 68
- 2θ 41.32, intensity 58
- 2θ 24.59, intensity 57
- 2θ 36.41, intensity 52
- 2θ 40.00, intensity 37
- 2θ 17.97, intensity 33
- 2θ 49.75, intensity 31
- 2θ 43.56, intensity 30
- 2θ 32.59, intensity 21

Lattice parameters (Å, degrees): 10.998 13.609 7.170 90.00 90.00 90.00
Space group Cmc2_1 (No. 36)
Unique sites:
1 Na 0.000 0.179 0.000
2 Pa 0.000 0.404 0.619
3 Pa 0.177 0.103 0.508
4 Se 0.000 0.006 0.754
5 Se 0.000 0.238 0.373
6 Se 0.167 0.461 0.318
7 Se 0.182 0.273 0.767